No. 1
# Ba4Zn2Ga3
Calculated X-ray diffraction stick pattern, Cu Kα X-rays. Input: a PBE-relaxed structure.
Neutral-atom scattering factors, no anomalous dispersion.

Crystal structure
Lattice parameters (Å, degrees): 9.0501 9.0501 7.9008 105.33 105.33 27.78
Element x y z (fractional)
Ba1 0.0744 0.0744 0.3815
Ba2 0.2554 0.2554 0.7944
Ba3 0.7446 0.7446 0.2056
Ba4 0.9256 0.9256 0.6185
Zn1 0.0928 0.0928 0.9632
Zn2 0.9072 0.9072 0.0368
Ga1 0.4101 0.4101 0.2353
Ga2 0.5000 0.5000 0.0000
Ga3 0.5899 0.5899 0.7647

Most intense lines, 5° ≤ 2θ ≤ 70°, by intensity:
2θ 30.24, rel. 100
2θ 36.75, rel. 56
2θ 26.60, rel. 56
2θ 31.76, rel. 50
2θ 28.24, rel. 46
2θ 41.57, rel. 42
2θ 32.80, rel. 39
2θ 26.94, rel. 36
2θ 34.06, rel. 35
2θ 23.45, rel. 33



No. 2
# Nd3Mg3Cd
Calculated X-ray diffraction stick pattern, Cu Kα X-rays. Input: a PBE-relaxed structure.
Neutral-atom scattering factors, no anomalous dispersion.

Crystal structure
Lattice parameters (Å, degrees): 7.7078 7.7078 7.0876 90.00 90.00 89.05
Element x y z (fractional)
Nd1 0.0000 0.0000 0.2484
Nd2 0.0000 0.0000 0.7516
Nd3 0.0005 0.4995 0.7472
Nd4 0.4995 0.0005 0.7472
Nd5 0.5005 0.9995 0.2528
Nd6 0.9995 0.5005 0.2528
Mg1 0.2871 0.2871 0.0009
Mg2 0.2938 0.7062 0.0000
Mg3 0.3314 0.6686 0.5000
Mg4 0.6686 0.3314 0.5000
Mg5 0.7062 0.2938 0.0000
Mg6 0.7129 0.7129 0.9991
Cd1 0.2712 0.2712 0.4990
Cd2 0.7288 0.7288 0.5010

Most intense lines, 5° ≤ 2θ ≤ 70°, by intensity:
2θ 34.38, rel. 100
2θ 32.59, rel. 29
2θ 23.08, rel. 26
2θ 33.15, rel. 25
2θ 16.13, rel. 23
2θ 11.48, rel. 19
2θ 59.31, rel. 17
2θ 47.17, rel. 17
2θ 27.71, rel. 17
2θ 60.02, rel. 16



No. 3
# Pd2Rh
Calculated X-ray diffraction stick pattern, Cu Kα X-rays. Input: a PBE-relaxed structure.
Neutral-atom scattering factors, no anomalous dispersion.

Crystal structure
Lattice parameters (Å, degrees): 2.7628 2.7628 11.8353 90.00 90.00 90.00
Element x y z (fractional)
Pd1 0.0000 0.0000 0.1641
Pd2 0.0000 0.0000 0.8359
Pd3 0.5000 0.5000 0.3359
Pd4 0.5000 0.5000 0.6641
Rh1 0.0000 0.0000 0.5000
Rh2 0.5000 0.5000 0.0000

Most intense lines, 5° ≤ 2θ ≤ 70°, by intensity:
2θ 39.83, rel. 100
2θ 46.48, rel. 32
2θ 67.48, rel. 20
2θ 46.01, rel. 16
2θ 67.85, rel. 10



No. 4
# Ca3Cu5
Calculated X-ray diffraction stick pattern, Cu Kα X-rays. Input: a PBE-relaxed structure.
Neutral-atom scattering factors, no anomalous dispersion.

Crystal structure
Lattice parameters (Å, degrees): 9.1145 9.1145 4.7014 90.00 90.00 120.00
Element x y z (fractional)
Ca1 0.0000 0.3622 0.2500
Ca2 0.0000 0.6378 0.7500
Ca3 0.3622 0.0000 0.2500
Ca4 0.3622 0.3622 0.7500
Ca5 0.6378 0.0000 0.7500
Ca6 0.6378 0.6378 0.2500
Cu1 0.0000 0.1555 0.7500
Cu2 0.0000 0.8445 0.2500
Cu3 0.1555 0.0000 0.7500
Cu4 0.1555 0.1555 0.2500
Cu5 0.3333 0.6667 0.0000
Cu6 0.3333 0.6667 0.5000
Cu7 0.6667 0.3333 0.0000
Cu8 0.6667 0.3333 0.5000
Cu9 0.8445 0.0000 0.2500
Cu10 0.8445 0.8445 0.7500

Most intense lines, 5° ≤ 2θ ≤ 70°, by intensity:
2θ 44.17, rel. 100
2θ 35.64, rel. 97
2θ 19.48, rel. 94
2θ 11.21, rel. 82
2θ 40.02, rel. 76
2θ 29.95, rel. 61
2θ 56.22, rel. 54
2θ 41.24, rel. 54
2θ 34.08, rel. 50
2θ 43.31, rel. 31



No. 5
# DyEr5TmIn2
Calculated X-ray diffraction stick pattern, Cu Kα X-rays. Input: a PBE-relaxed structure.
Neutral-atom scattering factors, no anomalous dispersion.

Crystal structure
Lattice parameters (Å, degrees): 11.0487 11.0487 11.0487 139.98 139.98 57.88
Element x y z (fractional)
Dy1 0.2500 0.2500 0.0000
Dy2 0.7500 0.7500 0.0000
Er1 0.0000 0.0000 0.0000
Er2 0.0774 0.5774 0.9019
Er3 0.1756 0.0774 0.5000
Er4 0.3244 0.8244 0.9019
Er5 0.4226 0.3244 0.5000
Er6 0.5000 0.5000 0.0000
Er7 0.5774 0.6756 0.5000
Er8 0.6756 0.1756 0.0981
Er9 0.8244 0.9226 0.5000
Er10 0.9226 0.4226 0.0981
Tm1 0.2500 0.7500 0.5000
Tm2 0.7500 0.2500 0.5000
In1 0.1245 0.3755 0.5000
In2 0.3755 0.8755 0.2511
In3 0.6245 0.1245 0.7489
In4 0.8755 0.6245 0.5000

Most intense lines, 5° ≤ 2θ ≤ 70°, by intensity:
2θ 30.01, rel. 100
2θ 29.84, rel. 33
2θ 33.52, rel. 30
2θ 37.20, rel. 25
2θ 35.26, rel. 23
2θ 50.93, rel. 19
2θ 57.77, rel. 13
2θ 62.67, rel. 12
2θ 37.62, rel. 10
2θ 49.96, rel. 8



No. 6
# PuZn2Cu4Si
Calculated X-ray diffraction stick pattern, Cu Kα X-rays. Input: a PBE-relaxed structure.
Neutral-atom scattering factors, no anomalous dispersion.

Crystal structure
Lattice parameters (Å, degrees): 8.9238 8.9238 8.9238 26.68 26.68 26.68
Element x y z (fractional)
Pu1 0.0000 0.0000 0.0000
Zn1 0.2457 0.2457 0.2457
Zn2 0.7543 0.7543 0.7543
Cu1 0.1349 0.1349 0.1349
Cu2 0.4074 0.4074 0.4074
Cu3 0.5926 0.5926 0.5926
Cu4 0.8651 0.8651 0.8651
Si1 0.5000 0.5000 0.5000

Most intense lines, 5° ≤ 2θ ≤ 70°, by intensity:
2θ 43.99, rel. 100
2θ 37.60, rel. 89
2θ 35.01, rel. 63
2θ 30.47, rel. 51
2θ 25.21, rel. 31
2θ 62.45, rel. 25
2θ 59.22, rel. 23
2θ 25.93, rel. 21
2θ 28.60, rel. 21
2θ 10.28, rel. 21



No. 7
# Cs3AgTe2O9
Calculated X-ray diffraction stick pattern, Cu Kα X-rays. Input: a PBE-relaxed structure.
Neutral-atom scattering factors, no anomalous dispersion.

Crystal structure
Lattice parameters (Å, degrees): 6.1536 6.1536 7.7368 90.00 90.00 120.00
Element x y z (fractional)
Cs1 0.0000 0.0000 0.0000
Cs2 0.3333 0.6667 0.6497
Cs3 0.6667 0.3333 0.3503
Ag1 0.0000 0.0000 0.5000
Te1 0.3333 0.6667 0.1542
Te2 0.6667 0.3333 0.8458
O1 0.0000 0.5000 0.0000
O2 0.1841 0.3682 0.2930
O3 0.1841 0.8159 0.2930
O4 0.3682 0.1841 0.7070
O5 0.5000 0.0000 0.0000
O6 0.5000 0.5000 0.0000
O7 0.6318 0.8159 0.2930
O8 0.8159 0.1841 0.7070
O9 0.8159 0.6318 0.7070

Most intense lines, 5° ≤ 2θ ≤ 70°, by intensity:
2θ 28.51, rel. 100
2θ 29.02, rel. 94
2θ 41.14, rel. 56
2θ 51.13, rel. 38
2θ 50.18, rel. 20
2θ 51.44, rel. 19
2θ 67.09, rel. 18
2θ 67.88, rel. 17
2θ 60.15, rel. 17
2θ 59.01, rel. 16



No. 8
# Cs2Zr3Cl9
Calculated X-ray diffraction stick pattern, Cu Kα X-rays. Input: a PBE-relaxed structure.
Neutral-atom scattering factors, no anomalous dispersion.

Crystal structure
Lattice parameters (Å, degrees): 10.7915 10.7915 10.3423 102.95 102.95 118.39
Element x y z (fractional)
Cs1 0.0516 0.7305 0.6881
Cs2 0.2695 0.9484 0.3119
Cs3 0.7305 0.0516 0.6881
Cs4 0.9484 0.2695 0.3119
Zr1 0.2697 0.4517 0.8520
Zr2 0.3778 0.3778 0.1358
Zr3 0.4517 0.2697 0.8520
Zr4 0.5483 0.7303 0.1480
Zr5 0.6222 0.6222 0.8642
Zr6 0.7303 0.5483 0.1480
Cl1 0.0112 0.3902 0.6805
Cl2 0.1121 0.3090 0.9840
Cl3 0.1923 0.1923 0.6776
Cl4 0.2408 0.2408 0.2822
Cl5 0.3013 0.6987 0.0000
Cl6 0.3090 0.1121 0.9840
Cl7 0.3813 0.5774 0.6892
Cl8 0.3902 0.0112 0.6805
Cl9 0.4226 0.6187 0.3108
Cl10 0.5774 0.3813 0.6892
Cl11 0.6098 0.9888 0.3195
Cl12 0.6187 0.4226 0.3108
Cl13 0.6909 0.8879 0.0160
Cl14 0.6987 0.3013 0.0000
Cl15 0.7592 0.7592 0.7178
Cl16 0.8077 0.8077 0.3224
Cl17 0.8879 0.6909 0.0160
Cl18 0.9888 0.6098 0.3195

Most intense lines, 5° ≤ 2θ ≤ 70°, by intensity:
2θ 30.65, rel. 100
2θ 22.43, rel. 83
2θ 19.11, rel. 81
2θ 10.88, rel. 70
2θ 16.90, rel. 66
2θ 9.53, rel. 60
2θ 30.02, rel. 57
2θ 28.79, rel. 47
2θ 10.10, rel. 47
2θ 34.51, rel. 47